Structure and simulated XRD peak list of NaIrRu (a structure optimized by DFT (GGA-PBE); Cu Ka).
Neutral-atom scattering factors, no anomalous dispersion.

Principal peaks in the range 10° ≤ 2θ ≤ 90°, low angle first:
| Position (°2θ) | d (Å) | Rel. int. |
| --- | --- | --- |
| 15.7 | 5.645 | 100.0 |
| 38.6 | 2.333 | 66.2 |
| 39.5 | 2.280 | 74.3 |
| 41.8 | 2.159 | 20.4 |
| 43.9 | 2.063 | 30.9 |
| 45.0 | 2.013 | 27.3 |

Crystal structure
Unit cell a=8.3390 b=4.1270 c=5.7359 alpha=90.00 beta=100.23 gamma=90.00
Space group Cm (No. 8)
Asymmetric unit:
Na (0.0000, 0.0000, 0.0000) (multiplicity 2)
Na (0.1618, 0.5000, 0.9347) (multiplicity 2)
Ir (0.1688, 0.5000, 0.4415) (multiplicity 2)
Ir (0.3057, 0.0000, 0.6852) (multiplicity 2)
Ru (0.3566, 0.0000, 0.2596) (multiplicity 2)
Ru (0.4854, 0.5000, 0.4912) (multiplicity 2)